Diffraction record for SrLa2Co3O9. The powder XRD pattern is simulated, not measured: it uses DFT lattice parameters and positions (PBE+U) and copper Kα.
Neutral-atom scattering factors, no anomalous dispersion.

Top 12 peaks for 2θ from 10° to 90°, by angle:
- 2θ = 23.06°, d 3.856, I 8, hkl 1 -1 0
- 2θ = 32.71°, d 2.737, I 100, hkl -1 1 2
- 2θ = 32.79°, d 2.732, I 25, hkl 1 2 3
- 2θ = 32.94°, d 2.719, I 25, hkl 0 3 1
- 2θ = 40.50°, d 2.227, I 11, hkl 0 3 3
- 2θ = 46.79°, d 1.941, I 17, hkl 0 0 4
- 2θ = 47.07°, d 1.931, I 16, hkl 2 -2 0
- 2θ = 47.19°, d 1.926, I 16, hkl 2 4 2
- 2θ = 58.40°, d 1.580, I 25, hkl 3 3 0
- 2θ = 58.66°, d 1.574, I 14, hkl 1 5 0
- 2θ = 68.58°, d 1.368, I 14, hkl 2 -2 4
- 2θ = 77.82°, d 1.227, I 6, hkl 1 2 -5

Cell and atoms:
abc: 5.471 8.597 8.661
angles: 66.68 71.75 71.58
Positions (direct):
Sr: 0.000 0.000 0.000
Sr: 0.499 0.508 0.491
La: 0.167 0.169 0.491
La: 0.330 0.338 0.997
La: 0.654 0.671 0.998
La: 0.826 0.834 0.495
Co: 0.080 0.588 0.244
Co: 0.240 0.754 0.745
Co: 0.415 0.919 0.246
Co: 0.583 0.084 0.746
Co: 0.747 0.254 0.246
Co: 0.915 0.422 0.744
O: 0.003 0.508 0.489
O: 0.077 0.571 0.770
O: 0.100 0.111 0.228
O: 0.209 0.662 0.991
O: 0.257 0.753 0.239
O: 0.273 0.845 0.496
O: 0.279 0.255 0.746
O: 0.394 0.938 0.715
O: 0.396 0.400 0.258
O: 0.506 0.005 0.002
O: 0.587 0.608 0.726
O: 0.589 0.070 0.275
O: 0.712 0.170 0.488
O: 0.751 0.757 0.248
O: 0.779 0.342 0.003
O: 0.782 0.251 0.742
O: 0.885 0.901 0.759
O: 0.903 0.439 0.217